# BaTc2SbO8
Theoretical powder X-ray diffraction pattern, CuKα. Input: a structure optimized by DFT (PBE).
Intensities are scaled so that the largest is 100.

Most intense lines, 2θ from 15° to 90°, in order of falling intensity:
two_theta  I/Imax
24.21  100
33.70  42
35.29  33
41.93  22
57.01  21
54.84  21
61.31  14
49.60  13
60.28  12
76.13  8

Cell and atoms:
```
BaTc2SbO8
1.0
2.6593 1.5353 8.1350
-2.6593 1.5353 8.1350
0.0000 -3.0707 8.1350
Ba Tc Sb O
1 2 1 8
Direct
0.0000 0.0000 0.0000
0.2497 0.2497 0.2497
0.7503 0.7503 0.7503
0.5000 0.5000 0.5000
0.1035 0.4497 0.7663
0.2337 0.5503 0.8965
0.3231 0.3231 0.3231
0.4497 0.7663 0.1035
0.5503 0.8965 0.2337
0.6769 0.6769 0.6769
0.7663 0.1035 0.4497
0.8965 0.2337 0.5503
```

# Ba4TlSb3O12
Theoretical powder X-ray diffraction pattern, CuKα. Input: a structure optimized by DFT (PBE).
Intensities are scaled so that the largest is 100.

Most intense lines, 2θ from 15° to 90°, in order of falling intensity:
two_theta  I/Imax
29.41  100
52.17  41
42.08  29
84.38  22
61.02  18
69.17  18
76.89  6
39.24  1
20.68  1
25.40  1

Cell and atoms:
```
Ba4TlSb3O12
1.0
-4.2949 4.2949 4.2949
4.2949 -4.2949 4.2949
4.2949 4.2949 -4.2949
Ba Tl Sb O
4 1 3 12
Direct
0.0000 0.0000 0.5000
0.0000 0.5000 0.0000
0.5000 0.0000 0.0000
0.5000 0.5000 0.5000
0.0000 0.0000 0.0000
0.0000 0.5000 0.5000
0.5000 0.0000 0.5000
0.5000 0.5000 0.0000
0.0000 0.2742 0.2742
0.0000 0.7258 0.7258
0.2500 0.5000 0.7500
0.2500 0.7500 0.5000
0.2742 0.0000 0.2742
0.2742 0.2742 0.0000
0.5000 0.2500 0.7500
0.5000 0.7500 0.2500
0.7258 0.0000 0.7258
0.7258 0.7258 0.0000
0.7500 0.2500 0.5000
0.7500 0.5000 0.2500
```

# Ba2Tl2Sb3O10
Theoretical powder X-ray diffraction pattern, CuKα. Input: a structure optimized by DFT (PBE).
Intensities are scaled so that the largest is 100.

Most intense lines, 2θ from 15° to 90°, in order of falling intensity:
two_theta  I/Imax
32.92  100
27.83  79
27.97  78
45.92  67
30.62  56
31.10  40
57.49  27
47.43  26
47.07  25
55.65  24

Cell and atoms:
```
Ba2Tl2Sb3O10
1.0
3.8340 0.0000 0.0000
-0.0006 3.8612 0.0000
-1.8704 -1.9244 20.1311
Ba Tl Sb O
2 2 3 10
Direct
0.0000 0.0000 0.0000
0.3043 0.2986 0.5943
0.4312 0.4617 0.8555
0.8749 0.9037 0.7387
0.5669 0.5692 0.1384
0.6455 0.6493 0.2969
0.7360 0.7299 0.4559
0.0467 0.5486 0.0971
0.1291 0.6330 0.2640
0.2562 0.7502 0.4964
0.3811 0.2929 0.7514
0.4803 0.4739 0.9584
0.5478 0.0496 0.0990
0.6593 0.1647 0.3276
0.7563 0.2498 0.4960
0.8248 0.8138 0.6358
0.9253 0.8383 0.8429
```

# Ba2USbO6
Theoretical powder X-ray diffraction pattern, CuKα. Input: a structure optimized by DFT (PBE).
Intensities are scaled so that the largest is 100.

Most intense lines, 2θ from 15° to 90°, in order of falling intensity:
two_theta  I/Imax
28.56  100
50.55  28
40.78  20
81.43  14
66.87  13
50.67  12
59.17  11
40.96  9
22.48  8
59.04  6

Cell and atoms:
```
Ba2USbO6
1.0
4.4255 0.0000 0.0000
0.0000 4.4255 0.0000
0.0000 0.0000 8.8144
Ba U Sb O
2 1 1 6
Direct
0.0000 0.0000 0.2273
0.0000 0.0000 0.7727
0.5000 0.5000 0.5000
0.5000 0.5000 0.0000
0.0000 0.5000 0.0000
0.0000 0.5000 0.5000
0.5000 0.0000 0.0000
0.5000 0.0000 0.5000
0.5000 0.5000 0.2624
0.5000 0.5000 0.7376
```

# BaUSbO6
Theoretical powder X-ray diffraction pattern, CuKα. Input: a structure optimized by DFT (PBE).
Intensities are scaled so that the largest is 100.

Most intense lines, 2θ from 15° to 90°, in order of falling intensity:
two_theta  I/Imax
23.87  100
44.95  51
31.75  47
15.34  30
52.04  24
40.11  23
35.44  17
56.56  14
30.97  14
65.89  12

Cell and atoms:
```
BaUSbO6
1.0
5.6366 0.0000 0.0000
-2.8183 4.8815 0.0000
0.0000 0.0000 11.5492
Ba U Sb O
2 2 2 12
Direct
0.0000 0.0000 0.0000
0.0000 0.0000 0.5000
0.3333 0.6667 0.2500
0.6667 0.3333 0.7500
0.3333 0.6667 0.7500
0.6667 0.3333 0.2500
0.0203 0.3862 0.6518
0.0203 0.6341 0.8482
0.3659 0.3862 0.8482
0.3659 0.9797 0.6518
0.3862 0.0203 0.1518
0.3862 0.3659 0.3482
0.6138 0.6341 0.6518
0.6138 0.9797 0.8482
0.6341 0.0203 0.3482
0.6341 0.6138 0.1518
0.9797 0.3659 0.1518
0.9797 0.6138 0.3482
```

# Ba2YSb3O8
Theoretical powder X-ray diffraction pattern, CuKα. Input: a structure optimized by DFT (PBE).
Intensities are scaled so that the largest is 100.

Most intense lines, 2θ from 15° to 90°, in order of falling intensity:
two_theta  I/Imax
30.01  100
28.89  54
51.89  43
41.31  35
53.96  16
83.14  11
62.36  11
59.85  11
67.80  10
68.39  9

Cell and atoms:
```
Ba2YSb3O8
1.0
4.3710 0.0000 0.0000
0.0000 4.3710 0.0000
0.0000 0.0000 12.2043
Ba Y Sb O
2 1 3 8
Direct
0.0000 0.0000 0.1630
0.0000 0.0000 0.8370
0.0000 0.0000 0.5000
0.5000 0.5000 0.0000
0.5000 0.5000 0.3611
0.5000 0.5000 0.6389
0.0000 0.5000 0.0000
0.0000 0.5000 0.3816
0.0000 0.5000 0.6184
0.5000 0.0000 0.0000
0.5000 0.0000 0.3816
0.5000 0.0000 0.6184
0.5000 0.5000 0.1908
0.5000 0.5000 0.8092
```

# BaZnSb4O8
Theoretical powder X-ray diffraction pattern, CuKα. Input: a structure optimized by DFT (PBE).
Intensities are scaled so that the largest is 100.

Most intense lines, 2θ from 15° to 90°, in order of falling intensity:
two_theta  I/Imax
29.14  100
30.08  62
52.26  30
42.38  29
51.66  27
59.78  17
60.42  13
48.30  12
68.96  11
83.46  11

Cell and atoms:
```
BaZnSb4O8
1.0
6.1288 0.0000 0.0000
-3.0644 5.3077 0.0000
0.0000 0.0000 7.1691
Ba Zn Sb O
1 1 4 8
Direct
0.0000 0.0000 0.0000
0.0000 0.0000 0.5000
0.3333 0.6667 0.2823
0.3333 0.6667 0.7177
0.6667 0.3333 0.2823
0.6667 0.3333 0.7177
0.0000 0.2875 0.2971
0.0000 0.7125 0.7029
0.2875 0.0000 0.2971
0.2875 0.2875 0.7029
0.3333 0.6667 0.0000
0.6667 0.3333 0.0000
0.7125 0.0000 0.7029
0.7125 0.7125 0.2971
```

# Ba3Sc4O9
Theoretical powder X-ray diffraction pattern, CuKα. Input: a structure optimized by DFT (PBE).
Intensities are scaled so that the largest is 100.

Most intense lines, 2θ from 15° to 90°, in order of falling intensity:
two_theta  I/Imax
30.58  100
31.48  83
44.46  55
25.55  40
54.92  35
40.26  21
55.62  21
63.65  20
54.35  20
36.26  18

Cell and atoms:
```
Ba3Sc4O9
1.0
2.9238 1.6880 8.0123
-2.9238 1.6880 8.0123
0.0000 -3.3761 8.0123
Ba Sc O
3 4 9
Direct
0.0000 0.0000 0.0000
0.4212 0.4212 0.4212
0.5788 0.5788 0.5788
0.1574 0.1574 0.1574
0.2820 0.2820 0.2820
0.7180 0.7180 0.7180
0.8426 0.8426 0.8426
0.0000 0.5000 0.5000
0.0395 0.0839 0.5451
0.0839 0.5451 0.0395
0.4549 0.9605 0.9161
0.5000 0.0000 0.5000
0.5000 0.5000 0.0000
0.5451 0.0395 0.0839
0.9161 0.4549 0.9605
0.9605 0.9161 0.4549
```

# BaSc2Sn2O
Theoretical powder X-ray diffraction pattern, CuKα. Input: a structure optimized by DFT (PBE).
Intensities are scaled so that the largest is 100.

Most intense lines, 2θ from 15° to 90°, in order of falling intensity:
two_theta  I/Imax
32.52  100
30.54  56
52.00  53
27.59  50
39.42  50
44.09  21
60.61  17
56.97  17
80.75  15
68.11  13

Cell and atoms:
```
BaSc2Sn2O
1.0
4.5718 0.0000 0.0000
0.0000 4.5718 0.0000
0.0000 0.0000 6.8973
Ba Sc Sn O
1 2 2 1
Direct
0.0000 0.0000 0.0000
0.0000 0.5000 0.5000
0.5000 0.0000 0.5000
0.5000 0.5000 0.2168
0.5000 0.5000 0.7832
0.0000 0.0000 0.5000
```

# BaTb2ScO5
Theoretical powder X-ray diffraction pattern, CuKα. Input: a structure optimized by DFT (PBE).
Intensities are scaled so that the largest is 100.

Most intense lines, 2θ from 15° to 90°, in order of falling intensity:
two_theta  I/Imax
31.32  100
30.32  27
27.78  25
55.81  24
54.50  21
44.02  20
31.14  14
45.73  14
45.63  14
38.86  13

Cell and atoms:
```
BaTb2ScO5
1.0
-1.9840 2.9480 5.7434
1.9840 -2.9480 5.7434
1.9840 2.9480 -5.7434
Ba Tb Sc O
1 2 1 5
Direct
0.0000 0.0000 0.0000
0.2853 0.7853 0.5000
0.7147 0.2147 0.5000
0.5000 0.5000 0.0000
0.1209 0.3553 0.7657
0.4104 0.6447 0.7657
0.5000 0.0000 0.5000
0.5896 0.3553 0.2343
0.8791 0.6447 0.2343
```